For ZnCoSn, DFT lattice parameters and positions (GGA-PBE) gives the theoretical powder X-ray diffraction pattern in this record (Cu Kα (λ = 1.5418 Å)).

Atomic structure:
```
6
Lattice="4.2234 -3.1179 0.0000 4.2234 3.1179 0.0000 -2.7767 0.0000 4.0093" Properties=species:S:1:pos:R:3 pbc="T T T"
Zn 2.1409 2.1733 3.0070
Zn 3.5292 -2.1733 1.0023
Co 4.2234 0.0000 0.0000
Co 2.8350 0.0000 2.0047
Sn 2.1117 1.5589 0.0000
Sn 0.7233 -1.5589 2.0047
```

Principal peaks in the range 10° ≤ 2θ ≤ 90°, low angle first:
d = 3.841 Å, 2θ 23.15, rel. 33.3; d = 2.586 Å, 2θ 34.69, rel. 100.0; d = 2.566 Å, 2θ 34.97, rel. 97.9; d = 2.320 Å, 2θ 38.82, rel. 58.5; d = 1.921 Å, 2θ 47.33, rel. 55.0; d = 1.736 Å, 2θ 52.73, rel. 30.0